Diffraction record for Ce2Si2O7. The powder XRD pattern is simulated, not measured: it uses a PBE-relaxed structure and Cu Kα (λ = 1.5418 Å).
Kinematic intensities with the Lorentz-polarization factor, no thermal factor.

Structural model:
Cell: 5.4659 8.8249 14.3611 Å, 90.00 112.25 90.00°
Fractional positions:
Ce1 0.0232 0.1934 0.2674
Ce2 0.0232 0.3066 0.7674
Ce3 0.3473 0.1073 0.5891
Ce4 0.3473 0.3927 0.0891
Ce5 0.6527 0.6073 0.9109
Ce6 0.6527 0.8927 0.4109
Ce7 0.9768 0.6934 0.2326
Ce8 0.9768 0.8066 0.7326
Si1 0.2935 0.7448 0.0269
Si2 0.2935 0.7552 0.5269
Si3 0.4120 0.5066 0.6797
Si4 0.4120 0.9934 0.1797
Si5 0.5880 0.0066 0.8203
Si6 0.5880 0.4934 0.3203
Si7 0.7065 0.2448 0.4731
Si8 0.7065 0.2552 0.9731
O1 0.0715 0.6539 0.0589
O2 0.0715 0.8461 0.5589
O3 0.2278 0.7331 0.9060
O4 0.2278 0.7669 0.4060
O5 0.2422 0.5821 0.7416
O6 0.2422 0.9179 0.2416
O7 0.2699 0.0342 0.7534
O8 0.2699 0.4658 0.2534
O9 0.3295 0.5780 0.5655
O10 0.3295 0.9220 0.0655
O11 0.3342 0.1735 0.1731
O12 0.3342 0.3265 0.6731
O13 0.4269 0.1454 0.4207
O14 0.4269 0.3546 0.9207
O15 0.5731 0.6454 0.0793
O16 0.5731 0.8546 0.5793
O17 0.6658 0.6735 0.3269
O18 0.6658 0.8265 0.8269
O19 0.6705 0.0780 0.9345
O20 0.6705 0.4220 0.4345
O21 0.7301 0.5342 0.7466
O22 0.7301 0.9658 0.2466
O23 0.7578 0.0821 0.7584
O24 0.7578 0.4179 0.2584
O25 0.7722 0.2331 0.5940
O26 0.7722 0.2669 0.0940
O27 0.9285 0.1539 0.4411
O28 0.9285 0.3461 0.9411

Principal peaks in the range 15 to 90 degrees two-theta, by angle:
index  2θ (°)  intensity
1 0 2  25.9  100
1 2 -2  26.8  34
0 2 3  28.5  21
2 0 -2  32.8  19
1 3 -2  35.3  15
2 2 -5  44.0  33